# 1
Calculated powder X-ray diffraction pattern
Compound: BaTl5Pb2
Radiation: copper Kα
Structure: a DFT-relaxed cell (GGA-PBE, Alexandria)
Neutral-atom scattering factors, no anomalous dispersion.

Largest 10 diffraction maxima, sorted by position, 10° ≤ 2θ ≤ 90°:
hkl 1 1 4, 2θ 29.18, rel. 11; hkl 2 1 3, 2θ 29.61, rel. 100; hkl 3 1 0, 2θ 32.09, rel. 51; hkl 0 0 6, 2θ 38.44, rel. 10; hkl 3 2 3, 2θ 41.65, rel. 11; hkl 3 1 6, 2θ 50.91, rel. 13; hkl 4 0 6, 2θ 57.39, rel. 8; hkl 4 4 0, 2θ 59.25, rel. 7; hkl 5 2 3, 2θ 59.81, rel. 22; hkl 2 1 9, 2θ 64.15, rel. 7

```
data_BaTl5Pb2
_chemical_formula_sum 'Ba4 Tl20 Pb8'
_cell_length_a 8.8215
_cell_length_b 8.8215
_cell_length_c 14.0513
_cell_angle_alpha 90.00
_cell_angle_beta 90.00
_cell_angle_gamma 90.00
_symmetry_space_group_name_H-M 'I 4/m c m'
_symmetry_Int_Tables_number 140
_symmetry_space_group_name_Hall '-I 4 2c'
loop_
_atom_site_label
_atom_site_fract_x
_atom_site_fract_y
_atom_site_fract_z
Ba1 0.0000 0.0000 0.2500
Tl1 0.0000 0.0000 0.0000
Tl2 0.1445 0.3555 0.1516
Pb1 0.1446 0.3554 0.5000
```

---

# 2
Calculated powder X-ray diffraction pattern
Compound: TbPaCu
Radiation: copper Kα
Structure: a DFT-relaxed cell (GGA-PBE, Alexandria)
Neutral-atom scattering factors, no anomalous dispersion.

Largest 10 diffraction maxima, sorted by position, 10° ≤ 2θ ≤ 90°:
hkl 0 4 1, 2θ 28.20, rel. 45; hkl 1 1 1, 2θ 33.50, rel. 100; hkl 0 6 1, 2θ 36.13, rel. 44; hkl 1 5 0, 2θ 36.37, rel. 56; hkl 0 0 2, 2θ 40.45, rel. 30; hkl 1 5 1, 2θ 41.79, rel. 22; hkl 2 0 0, 2θ 53.88, rel. 13; hkl 1 5 2, 2θ 55.51, rel. 33; hkl 2 6 1, 2θ 66.60, rel. 15; hkl 1 1 3, 2θ 69.15, rel. 13

```
data_TbPaCu
_chemical_formula_sum 'Tb4 Pa4 Cu4'
_cell_length_a 3.4030
_cell_length_b 17.9629
_cell_length_c 4.4602
_cell_angle_alpha 90.00
_cell_angle_beta 90.00
_cell_angle_gamma 90.00
_symmetry_space_group_name_H-M 'C m c m'
_symmetry_Int_Tables_number 63
_symmetry_space_group_name_Hall '-C 2c 2'
loop_
_atom_site_label
_atom_site_fract_x
_atom_site_fract_y
_atom_site_fract_z
Tb1 0.0000 0.0900 0.2500
Pa1 0.0000 0.2882 0.2500
Cu1 0.0000 0.4573 0.2500
```

---

# 3
Calculated powder X-ray diffraction pattern
Compound: LaTl2Mo
Radiation: copper Kα
Structure: a DFT-relaxed cell (GGA-PBE, Alexandria)
Neutral-atom scattering factors, no anomalous dispersion.

Largest 10 diffraction maxima, sorted by position, 10° ≤ 2θ ≤ 90°:
hkl 0 0 2, 2θ 19.77, rel. 6; hkl 1 1 0, 2θ 27.02, rel. 6; hkl 1 1 2, 2θ 33.71, rel. 100; hkl 2 0 0, 2θ 38.59, rel. 35; hkl 0 0 4, 2θ 40.17, rel. 16; hkl 2 2 0, 2θ 55.71, rel. 12; hkl 2 0 4, 2θ 56.92, rel. 22; hkl 3 1 2, 2θ 66.72, rel. 28; hkl 1 1 6, 2θ 68.89, rel. 13; hkl 2 2 4, 2θ 70.88, rel. 12

```
data_LaTl2Mo
_chemical_formula_sum 'La2 Tl4 Mo2'
_cell_length_a 4.6665
_cell_length_b 4.6665
_cell_length_c 8.9795
_cell_angle_alpha 90.00
_cell_angle_beta 90.00
_cell_angle_gamma 90.00
_symmetry_space_group_name_H-M 'I 4/m m m'
_symmetry_Int_Tables_number 139
_symmetry_space_group_name_Hall '-I 4 2'
loop_
_atom_site_label
_atom_site_fract_x
_atom_site_fract_y
_atom_site_fract_z
La1 0.0000 0.0000 0.0000
Tl1 0.0000 0.5000 0.2500
Mo1 0.0000 0.0000 0.5000
```

---

# 4
Calculated powder X-ray diffraction pattern
Compound: Th2CuGe3Rh4
Radiation: copper Kα
Structure: a DFT-relaxed cell (GGA-PBE, Alexandria)
Neutral-atom scattering factors, no anomalous dispersion.

Largest 10 diffraction maxima, sorted by position, 10° ≤ 2θ ≤ 90°:
hkl 1 0 1, 2θ 22.87, rel. 11; hkl 1 1 0, 2θ 30.17, rel. 21; hkl 1 0 3, 2θ 33.45, rel. 65; hkl 1 1 2, 2θ 34.81, rel. 100; hkl 2 0 0, 2θ 43.19, rel. 53; hkl 1 0 5, 2θ 48.67, rel. 30; hkl 2 1 3, 2θ 55.70, rel. 31; hkl 2 2 0, 2θ 62.74, rel. 18; hkl 2 1 5, 2θ 67.08, rel. 23; hkl 3 1 2, 2θ 73.79, rel. 22

```
data_Th2CuGe3Rh4
_chemical_formula_sum 'Th2 Cu1 Ge3 Rh4'
_cell_length_a 4.1890
_cell_length_b 4.1890
_cell_length_c 10.4560
_cell_angle_alpha 90.00
_cell_angle_beta 90.00
_cell_angle_gamma 90.00
_symmetry_space_group_name_H-M 'P -4 m 2'
_symmetry_Int_Tables_number 115
loop_
_symmetry_equiv_pos_as_xyz
'x,y,z'
'y,-x,-z'
'-x,-y,z'
'-y,x,-z'
'-x,y,z'
'-y,-x,-z'
'x,-y,z'
'y,x,-z'
loop_
_atom_site_label
_atom_site_fract_x
_atom_site_fract_y
_atom_site_fract_z
Th1 0.0000 0.5000 0.2391
Cu1 0.5000 0.5000 0.0000
Ge1 0.0000 0.0000 0.0000
Ge2 0.0000 0.5000 0.6288
Rh1 0.0000 0.0000 0.5000
Rh2 0.0000 0.5000 0.8620
Rh3 0.5000 0.5000 0.5000
```